Starting from a cell relaxed with PBE, the powder X-ray diffraction pattern of Cs2SrCu2I7 was computed for copper Kα.
Intensities are scaled so that the largest is 100.

Largest 10 diffraction maxima, in order of rising 2θ, 2θ = 10–90°:
- 2θ 22.07, d = 4.028 Å, intensity 13
- 2θ 22.89, d = 3.884 Å, intensity 20
- 2θ 28.70, d = 3.110 Å, intensity 100
- 2θ 30.44, d = 2.937 Å, intensity 13
- 2θ 31.41, d = 2.848 Å, intensity 73
- 2θ 44.30, d = 2.045 Å, intensity 18
- 2θ 45.01, d = 2.014 Å, intensity 27
- 2θ 49.01, d = 1.858 Å, intensity 16
- 2θ 54.26, d = 1.691 Å, intensity 33
- 2θ 74.49, d = 1.274 Å, intensity 12

Atomic structure:
Cell lengths 5.6964, 5.6964, 15.2175 Å; angles 100.70, 100.70, 90.02 degrees
Fractional coordinates of all 12 atoms:
Cs 0.1761 0.1761 0.3558
Cs 0.8239 0.8239 0.6442
Sr 0.0000 0.0000 0.0000
Cu 0.4028 0.4028 0.8094
Cu 0.5972 0.5972 0.1906
I 0.0813 0.5808 0.1631
I 0.3138 0.3138 0.6247
I 0.4192 0.9187 0.8369
I 0.5000 0.5000 0.0000
I 0.5808 0.0813 0.1631
I 0.6862 0.6862 0.3753
I 0.9187 0.4192 0.8369

Starting from a cell relaxed with PBE, the powder X-ray diffraction pattern of PmTl2Pd9 was computed for copper Kα.
Intensities are scaled so that the largest is 100.

Largest 10 diffraction maxima, in order of rising 2θ, 2θ = 10–90°:
- 2θ 30.38, d = 2.943 Å, intensity 30
- 2θ 33.11, d = 2.706 Å, intensity 63
- 2θ 38.55, d = 2.336 Å, intensity 31
- 2θ 39.04, d = 2.307 Å, intensity 100
- 2θ 40.88, d = 2.208 Å, intensity 29
- 2θ 42.18, d = 2.142 Å, intensity 45
- 2θ 59.12, d = 1.563 Å, intensity 16
- 2θ 63.12, d = 1.473 Å, intensity 31
- 2θ 69.43, d = 1.354 Å, intensity 23
- 2θ 83.85, d = 1.154 Å, intensity 12

Atomic structure:
Cell lengths 9.3576, 9.3576, 9.3576 Å; angles 33.64, 33.64, 33.64 degrees
Fractional coordinates of all 12 atoms:
Pm 0.0000 0.0000 0.0000
Tl 0.1392 0.1392 0.1392
Tl 0.8608 0.8608 0.8608
Pd 0.0812 0.5867 0.5867
Pd 0.3334 0.3334 0.3334
Pd 0.4133 0.4133 0.9188
Pd 0.4133 0.9188 0.4133
Pd 0.5000 0.5000 0.5000
Pd 0.5867 0.0812 0.5867
Pd 0.5867 0.5867 0.0812
Pd 0.6666 0.6666 0.6666
Pd 0.9188 0.4133 0.4133

Starting from a cell relaxed with PBE, the powder X-ray diffraction pattern of EuGdScCd was computed for copper Kα.
Intensities are scaled so that the largest is 100.

Largest 10 diffraction maxima, in order of rising 2θ, 2θ = 10–90°:
- 2θ 19.89, d = 4.463 Å, intensity 5
- 2θ 23.01, d = 3.865 Å, intensity 12
- 2θ 32.77, d = 2.733 Å, intensity 100
- 2θ 40.42, d = 2.232 Å, intensity 4
- 2θ 47.02, d = 1.933 Å, intensity 18
- 2θ 52.97, d = 1.729 Å, intensity 5
- 2θ 58.49, d = 1.578 Å, intensity 37
- 2θ 68.68, d = 1.367 Å, intensity 11
- 2θ 78.20, d = 1.222 Å, intensity 16
- 2θ 87.40, d = 1.116 Å, intensity 4

Atomic structure:
Cell lengths 7.7309, 7.7309, 7.7309 Å; angles 90.00, 90.00, 90.00 degrees
Fractional coordinates of all 16 atoms:
Eu 0.0000 0.0000 0.0000
Eu 0.0000 0.5000 0.5000
Eu 0.5000 0.0000 0.5000
Eu 0.5000 0.5000 0.0000
Gd 0.0000 0.0000 0.5000
Gd 0.0000 0.5000 0.0000
Gd 0.5000 0.0000 0.0000
Gd 0.5000 0.5000 0.5000
Sc 0.2500 0.2500 0.7500
Sc 0.2500 0.7500 0.2500
Sc 0.7500 0.2500 0.2500
Sc 0.7500 0.7500 0.7500
Cd 0.2500 0.2500 0.2500
Cd 0.2500 0.7500 0.7500
Cd 0.7500 0.2500 0.7500
Cd 0.7500 0.7500 0.2500